Record 1
ZnBPdPt2: simulated powder X-ray diffraction pattern (λ = 1.5418 Å (Cu Kα)), based on a crystal structure in Alexandria, relaxed with GGA-PBE.
Intensities are scaled so that the largest is 100.

Top 12 peaks for 2θ = 10–80°, in order of falling intensity:
hkl  Position (°2θ)  I_rel
1 1 1  37.29  100
2 0 0  43.64  34
3 1 1  75.95  25
2 0 2  62.71  23
0 0 2  42.70  18
0 0 1  20.98  15
1 1 3  74.61  13
2 2 2  79.50  12
2 2 0  63.43  11
1 1 0  30.48  10
2 0 1  48.90  7
1 1 2  53.37  5

Structural model:
Unit cell a=4.1478 b=4.1478 c=4.2349 alpha=90.00 beta=90.00 gamma=90.00
Space group P4/mmm (No. 123)
One atom of each set of equivalent atoms:
Zn: 0.0000 0.0000 0.0000
B: 0.5000 0.5000 0.5000
Pd: 0.5000 0.5000 0.0000
Pt: 0.0000 0.5000 0.5000

=====

Record 2
Nb2Se4Cl: simulated powder X-ray diffraction pattern (λ = 1.5418 Å (Cu Kα)), based on a crystal structure in Alexandria, relaxed with GGA-PBE.
Intensities are scaled so that the largest is 100.

Top 12 peaks for 2θ = 10–80°, in order of falling intensity:
hkl  Position (°2θ)  I_rel
0 0 1  11.34  100
0 1 0  13.66  52
2 0 2  34.03  47
0 2 2  31.86  38
2 2 -1  34.50  30
2 4 1  48.33  21
1 2 3  36.07  20
0 2 3  39.45  19
1 1 0  14.42  18
1 1 1  15.40  17
2 1 -1  29.62  17
3 1 2  40.10  16

Structural model:
Unit cell a=7.4384 b=7.5581 c=8.2114 alpha=72.81 beta=76.74 gamma=61.33
Space group P1 (No. 1)
One atom of each set of equivalent atoms:
Nb: 0.0000 0.0000 0.0000
Nb: 0.1103 0.4485 0.9525
Nb: 0.2216 0.5036 0.3002
Nb: 0.4913 0.4332 0.9594
Se: 0.2423 0.1396 0.7961
Se: 0.2495 0.6920 0.7497
Se: 0.3536 0.1882 0.1877
Se: 0.3771 0.7345 0.1178
Se: 0.7329 0.1216 0.8150
Se: 0.8297 0.2761 0.1515
Se: 0.8794 0.6976 0.1686
Se: 0.9668 0.5040 0.6403
Cl: 0.4764 0.3654 0.4833
Cl: 0.6948 0.8384 0.5540

=====

Record 3
Tb5CePmSm2: simulated powder X-ray diffraction pattern (λ = 1.5418 Å (Cu Kα)), based on a crystal structure in Alexandria, relaxed with GGA-PBE.
Intensities are scaled so that the largest is 100.

Top 12 peaks for 2θ = 10–80°, in order of falling intensity:
hkl  Position (°2θ)  I_rel
2 0 4  30.82  100
2 1 3  28.71  72
2 2 0  29.15  48
0 0 8  46.56  30
3 1 0  32.68  21
3 2 1  37.87  18
4 2 4  52.73  17
2 2 8  55.85  17
4 4 0  60.48  17
2 1 5  36.96  15
4 1 1  43.44  13
3 1 2  34.69  12

Structural model:
Unit cell a=8.6658 b=8.6658 c=15.6216 alpha=90.00 beta=90.00 gamma=90.00
Space group I4/mcm (No. 140)
One atom of each set of equivalent atoms:
Tb: 0.0000 0.0000 0.0000
Tb: 0.2000 0.3000 0.1392
Ce: 0.0000 0.5000 0.2500
Pm: 0.0000 0.0000 0.2500
Sm: 0.1212 0.3788 0.5000

=====

Record 4
Hf4Fe2Bi5: simulated powder X-ray diffraction pattern (λ = 1.5418 Å (Cu Kα)), based on a crystal structure in Alexandria, relaxed with GGA-PBE.
Intensities are scaled so that the largest is 100.

Top 12 peaks for 2θ = 10–80°, in order of falling intensity:
hkl  Position (°2θ)  I_rel
2 1 -2  35.23  100
1 0 0  10.60  94
1 1 2  34.43  87
1 0 -4  31.11  56
1 1 -3  35.69  53
3 0 0  32.17  39
0 1 3  36.13  33
3 1 0  42.13  33
1 1 -7  63.13  29
0 2 0  54.49  29
1 0 2  21.61  25
2 0 -1  20.54  25

Structural model:
Unit cell a=8.6929 b=3.3673 c=11.5172 alpha=90.00 beta=106.21 gamma=90.00
Space group P2/m (No. 10)
One atom of each set of equivalent atoms:
Hf: 0.0059 0.0000 0.2752
Hf: 0.1930 0.0000 0.0383
Fe: 0.0036 0.5000 0.1108
Bi: 0.0000 0.5000 0.5000
Bi: 0.3102 0.5000 0.8454
Bi: 0.3172 0.5000 0.2809

=====

Record 5
Nd2Sm2Pd3: simulated powder X-ray diffraction pattern (λ = 1.5418 Å (Cu Kα)), based on a crystal structure in Alexandria, relaxed with GGA-PBE.
Intensities are scaled so that the largest is 100.

Top 12 peaks for 2θ = 10–80°, in order of falling intensity:
hkl  Position (°2θ)  I_rel
1 1 -1  30.45  100
0 1 2  30.24  50
1 0 -3  43.13  37
1 2 1  43.76  36
2 0 2  53.45  20
2 -1 0  42.99  19
0 3 -2  44.22  18
3 0 -1  71.02  17
2 -4 2  63.38  12
1 0 1  25.99  12
0 2 -4  53.97  10
0 4 0  55.04  10

Structural model:
Unit cell a=4.2081 b=7.0854 c=7.2580 alpha=99.13 beta=90.03 gamma=107.21
Space group P-1 (No. 2)
One atom of each set of equivalent atoms:
Nd: 0.1280 0.2542 0.3704
Sm: 0.3716 0.7430 0.1104
Pd: 0.0000 0.0000 0.0000
Pd: 0.2461 0.4935 0.7443

=====

Record 6
Cd4Cu3: simulated powder X-ray diffraction pattern (λ = 1.5418 Å (Cu Kα)), based on a crystal structure in Alexandria, relaxed with GGA-PBE.
Intensities are scaled so that the largest is 100.

Top 12 peaks for 2θ = 10–80°, in order of falling intensity:
hkl  Position (°2θ)  I_rel
1 0 2  39.39  100
1 1 0  35.01  62
1 1 1  38.98  53
2 0 1  44.19  44
2 1 2  65.73  41
2 0 0  40.65  28
2 2 0  73.96  18
1 1 3  63.66  12
2 0 3  67.45  11
3 0 1  65.45  11
3 0 0  62.79  11
0 0 4  70.56  7

Structural model:
Unit cell a=5.1261 b=5.1261 c=5.3387 alpha=90.00 beta=90.00 gamma=120.00
Space group P6/mmm (No. 191)
One atom of each set of equivalent atoms:
Cd: 0.0000 0.0000 0.2492
Cd: 0.3333 0.6667 0.5000
Cu: 0.0000 0.5000 0.0000

=====

Record 7
Th5HgPb3: simulated powder X-ray diffraction pattern (λ = 1.5418 Å (Cu Kα)), based on a crystal structure in Alexandria, relaxed with GGA-PBE.
Intensities are scaled so that the largest is 100.

Top 12 peaks for 2θ = 10–80°, in order of falling intensity:
hkl  Position (°2θ)  I_rel
1 1 2  32.61  100
3 0 0  31.79  89
2 1 1  31.08  45
2 2 2  46.19  31
4 1 2  57.17  27
3 0 4  65.20  24
5 2 2  76.01  15
3 1 1  40.85  13
2 1 3  50.12  12
5 1 1  62.85  12
4 2 1  59.58  11
3 2 1  48.98  11

Structural model:
Unit cell a=9.7505 b=9.7505 c=6.6462 alpha=90.00 beta=90.00 gamma=120.00
Space group P6_3/mcm (No. 193)
One atom of each set of equivalent atoms:
Th: 0.0000 0.2782 0.2500
Th: 0.3333 0.6667 0.0000
Hg: 0.0000 0.0000 0.0000
Pb: 0.0000 0.3764 0.7500

=====

Record 8
AcCeMg10: simulated powder X-ray diffraction pattern (λ = 1.5418 Å (Cu Kα)), based on a crystal structure in Alexandria, relaxed with GGA-PBE.
Intensities are scaled so that the largest is 100.

Top 12 peaks for 2θ = 10–80°, in order of falling intensity:
hkl  Position (°2θ)  I_rel
1 1 1  24.62  100
1 2 0  34.59  86
0 1 1  16.84  59
0 2 0  29.39  42
0 0 4  34.07  36
1 0 0  17.83  26
2 0 4  50.49  24
2 2 0  47.22  23
1 2 4  49.31  21
2 0 0  36.11  18
1 3 3  55.49  16
2 1 1  40.10  14

Structural model:
Unit cell a=4.9747 b=6.0877 c=10.5100 alpha=90.00 beta=90.00 gamma=90.00
Space group Pmmm (No. 47)
One atom of each set of equivalent atoms:
Ac: 0.0000 0.0000 0.0000
Ce: 0.0000 0.5000 0.5000
Mg: 0.0000 0.0000 0.3382
Mg: 0.0000 0.5000 0.1733
Mg: 0.5000 0.0000 0.5000
Mg: 0.5000 0.2524 0.2547
Mg: 0.5000 0.5000 0.0000

=====

Record 9
AcPr4Dy2Tm: simulated powder X-ray diffraction pattern (λ = 1.5418 Å (Cu Kα)), based on a crystal structure in Alexandria, relaxed with GGA-PBE.
Intensities are scaled so that the largest is 100.

Top 12 peaks for 2θ = 10–80°, in order of falling intensity:
hkl  Position (°2θ)  I_rel
1 1 2  29.73  100
0 2 0  34.45  17
2 0 -4  34.34  17
4 0 0  34.61  17
1 3 2  58.83  15
7 1 -2  59.05  14
5 1 -6  58.68  14
6 2 -4  61.75  13
4 2 0  49.64  12
2 2 -4  49.43  12
6 0 -4  49.55  12
0 4 0  72.63  2

Structural model:
Unit cell a=11.6035 b=5.2067 c=10.4467 alpha=90.00 beta=116.71 gamma=90.00
Space group C2/m (No. 12)
One atom of each set of equivalent atoms:
Ac: 0.0000 0.0000 0.0000
Pr: 0.2470 0.0000 0.8685
Pr: 0.2486 0.5000 0.6212
Dy: 0.0010 0.5000 0.7427
Tm: 0.0000 0.0000 0.5000

=====

Record 10
Cs2In3Cl5: simulated powder X-ray diffraction pattern (λ = 1.5418 Å (Cu Kα)), based on a crystal structure in Alexandria, relaxed with GGA-PBE.
Intensities are scaled so that the largest is 100.

Top 12 peaks for 2θ = 10–80°, in order of falling intensity:
hkl  Position (°2θ)  I_rel
3 1 -2  25.72  100
1 1 1  23.60  61
0 2 0  38.40  50
2 0 2  28.10  44
1 1 -4  38.55  25
4 0 -1  22.16  21
2 0 -3  22.32  20
6 0 -4  34.89  19
2 2 2  48.28  18
4 2 -1  44.85  14
5 1 -1  34.49  11
6 2 -4  52.87  11

Structural model:
Unit cell a=16.7274 b=4.6841 c=12.0521 alpha=90.00 beta=125.88 gamma=90.00
Space group C2/m (No. 12)
One atom of each set of equivalent atoms:
Cs: 0.1709 0.0000 0.2656
In: 0.0000 0.0000 0.5000
In: 0.1120 0.5000 0.8707
Cl: 0.0000 0.5000 0.0000
Cl: 0.0909 0.5000 0.4099
Cl: 0.1994 0.0000 0.8001

=====

Record 11
Te10Mo3I10: simulated powder X-ray diffraction pattern (λ = 1.5418 Å (Cu Kα)), based on a crystal structure in Alexandria, relaxed with GGA-PBE.
Intensities are scaled so that the largest is 100.

Top 12 peaks for 2θ = 10–80°, in order of falling intensity:
hkl  Position (°2θ)  I_rel
0 0 2  10.00  100
0 1 5  26.52  75
3 2 1  24.78  69
3 0 4  29.74  69
1 -2 1  22.08  64
1 0 -1  10.97  61
-2 2 3  34.44  60
1 -2 2  23.42  57
0 3 0  25.59  55
-2 1 1  23.64  53
5 2 3  40.59  51
2 4 -1  33.11  50

Structural model:
Unit cell a=11.2267 b=11.3547 c=18.1908 alpha=84.26 beta=76.49 gamma=66.99
Space group P-1 (No. 2)
One atom of each set of equivalent atoms:
Te: 0.0451 0.2368 0.3532
Te: 0.1066 0.4490 0.3131
Te: 0.1665 0.4420 0.1197
Te: 0.2404 0.9769 0.2172
Te: 0.3029 0.0597 0.8479
Te: 0.3333 0.9725 0.3966
Te: 0.3932 0.0616 0.1015
Te: 0.4128 0.3529 0.4229
Te: 0.4419 0.2607 0.2239
Te: 0.4491 0.9626 0.6272
Mo: 0.2197 0.2287 0.2174
Mo: 0.2962 0.2233 0.3573
Mo: 0.4471 0.0216 0.2501
I: 0.0082 0.7103 0.8514
I: 0.0578 0.9390 0.3830
I: 0.1130 0.0858 0.7637
I: 0.1896 0.2804 0.5177
I: 0.2664 0.6179 0.4142
I: 0.2739 0.8521 0.9426
I: 0.2855 0.3646 0.9689
I: 0.3261 0.5828 0.1297
I: 0.3493 0.6460 0.6781
I: 0.4083 0.2555 0.7612

=====

Record 12
CaY3Se4: simulated powder X-ray diffraction pattern (λ = 1.5418 Å (Cu Kα)), based on a crystal structure in Alexandria, relaxed with GGA-PBE.
Intensities are scaled so that the largest is 100.

Top 12 peaks for 2θ = 10–80°, in order of falling intensity:
hkl  Position (°2θ)  I_rel
2 2 0  44.11  100
2 0 0  30.84  92
0 0 4  30.72  46
2 2 4  54.76  35
4 2 0  72.92  29
2 0 8  72.70  15
4 0 0  64.25  11
0 0 8  63.98  5
1 0 1  17.08  4
1 0 3  27.66  2
2 1 3  41.88  1
0 0 2  15.22  1

Structural model:
Unit cell a=5.7992 b=5.7992 c=11.6423 alpha=90.00 beta=90.00 gamma=90.00
Space group I4/mmm (No. 139)
One atom of each set of equivalent atoms:
Ca: 0.0000 0.0000 0.0000
Y: 0.0000 0.0000 0.5000
Y: 0.0000 0.5000 0.2500
Se: 0.0000 0.0000 0.2484
Se: 0.0000 0.5000 0.0000